For Ta6Co16Si7, a DFT-relaxed cell (GGA-PBE, Alexandria) gives the theoretical powder diffractogram in this record (a wavelength of 1.5418 Å).
Kinematic intensities with the Lorentz-polarization factor, no thermal factor.

Principal peaks in the range 10° ≤ 2θ ≤ 90°, low angle first:
| hkl | Position (°2θ) | d [Å] | intensity |
| --- | --- | --- | --- |
| 2 2 2 | 27.68 | 3.223 | 46.4 |
| 3 3 1 | 35.03 | 2.562 | 19.1 |
| 4 2 2 | 39.54 | 2.279 | 30.6 |
| 3 3 3 | 42.05 | 2.149 | 100.0 |
| 4 4 0 | 45.98 | 1.974 | 65.4 |
| 6 0 0 | 48.95 | 1.861 | 18.0 |
| 5 5 1 | 59.09 | 1.563 | 12.6 |
| 7 3 1 | 64.06 | 1.454 | 19.8 |
| 7 3 3 | 68.83 | 1.364 | 10.9 |
| 6 6 0 | 71.73 | 1.316 | 23.5 |
| 5 5 5 | 73.45 | 1.289 | 13.4 |
| 9 3 3 | 86.78 | 1.122 | 15.9 |

Cell and atoms:
a b c (Å): 11.165 11.165 11.165
angles (deg): 90.00 90.00 90.00
Space group Fm-3m (No. 225)
One atom of each set of equivalent atoms:
Ta1 0.000 0.000 0.202 [24 per cell]
Co1 0.119 0.119 0.381 [32 per cell]
Co2 0.166 0.166 0.166 [32 per cell]
Si1 0.000 0.000 0.500 [4 per cell]
Si2 0.000 0.250 0.250 [24 per cell]